Entry 1:
This entry pairs a crystal structure of FeSO7 with its computed powder XRD pattern. Radiation: a wavelength of 1.5418 Å. Structure: a structure optimized by DFT (GGA+U).

Largest 8 diffraction maxima, in order of rising 2θ, 2θ from 10° to 80°:
2θ (°)	I/Imax	(hkl)
13.21	19	0 0 1
14.83	18	1 0 0
15.97	100	1 0 -1
18.79	24	0 1 1
26.84	23	1 1 1
29.98	23	0 2 1
35.06	14	1 0 2
37.27	14	1 2 -2

```
data_FeSO7
_cell_length_a 6.3949
_cell_length_b 6.6568
_cell_length_c 7.1713
_cell_angle_alpha 90.00
_cell_angle_beta 110.87
_cell_angle_gamma 90.00
_space_group_name_H-M_alt 'P 1 21/m 1'
_space_group_IT_number 11
_space_group_name_Hall '-P 2yb'
loop_
_atom_site_label
_atom_site_type_symbol
_atom_site_fract_x
_atom_site_fract_y
_atom_site_fract_z
_atom_site_occupancy
Fe1 Fe 0.0000 0.0000 0.0000 1
S1 S 0.3230 0.2500 0.3750 1
O1 O 0.0163 0.2500 0.9016 1
O2 O 0.2205 0.2500 0.5242 1
O3 O 0.2429 0.0630 0.2390 1
O4 O 0.2548 0.6564 0.8861 1
O5 O 0.4354 0.7500 0.5601 1
```



Entry 2:
This entry pairs a crystal structure of Na2MnH4S2O10 with its computed powder XRD pattern. Radiation: a wavelength of 1.5418 Å. Structure: a structure optimized by DFT (GGA+U).

Largest 8 diffraction maxima, in order of rising 2θ, 2θ from 10° to 80°:
2θ (°)	I/Imax	(hkl)
13.11	100	0 2 0
23.45	52	1 2 -1
25.83	89	0 3 1
26.66	60	1 1 1
27.77	44	1 3 -1
29.06	98	1 2 1
32.04	50	2 1 -1
32.72	56	1 0 -2

```
data_Na2MnH4S2O10
_cell_length_a 5.9028
_cell_length_b 13.5069
_cell_length_c 5.5873
_cell_angle_alpha 90.00
_cell_angle_beta 106.09
_cell_angle_gamma 90.00
_space_group_name_H-M_alt 'P 1 21/c 1'
_space_group_IT_number 14
_space_group_name_Hall '-P 2ybc'
loop_
_atom_site_label
_atom_site_type_symbol
_atom_site_fract_x
_atom_site_fract_y
_atom_site_fract_z
_atom_site_occupancy
Na1 Na 0.0815 0.1147 0.2621 1
Mn1 Mn 0.5000 0.0000 0.0000 1
H1 H 0.1810 0.1520 0.8181 1
H2 H 0.4090 0.1997 0.0054 1
S1 S 0.2715 0.6156 0.9270 1
O1 O 0.0644 0.6825 0.8981 1
O2 O 0.2359 0.5554 0.6916 1
O3 O 0.2696 0.5450 0.1363 1
O4 O 0.3094 0.1395 0.9754 1
O5 O 0.4948 0.6709 0.9823 1
```



Entry 3:
This entry pairs a crystal structure of Li4Co3O7 with its computed powder XRD pattern. Radiation: a wavelength of 1.5418 Å. Structure: a structure optimized by DFT (GGA+U).

Largest 8 diffraction maxima, in order of rising 2θ, 2θ from 10° to 80°:
2θ (°)	I/Imax	(hkl)
18.41	100	0 1 -1
35.94	14	2 -1 0
36.35	13	1 1 2
36.63	13	-1 1 3
43.56	27	2 -2 1
43.88	27	1 2 1
44.26	26	1 0 -4
63.61	14	3 0 2

```
data_Li4Co3O7
_cell_length_a 5.0719
_cell_length_b 5.8673
_cell_length_c 8.6645
_cell_angle_alpha 91.33
_cell_angle_beta 95.19
_cell_angle_gamma 106.62
_space_group_name_H-M_alt 'P -1'
_space_group_IT_number 2
_space_group_name_Hall '-P 1'
loop_
_atom_site_label
_atom_site_type_symbol
_atom_site_fract_x
_atom_site_fract_y
_atom_site_fract_z
_atom_site_occupancy
Li1 Li 0.0000 0.0000 0.0000 1
Li2 Li 0.0000 0.5000 0.0000 1
Li3 Li 0.1435 0.2882 0.2835 1
Li4 Li 0.2861 0.5718 0.5736 1
Li5 Li 0.4218 0.8548 0.8597 1
Co1 Co 0.1413 0.7827 0.2782 1
Co2 Co 0.2864 0.0685 0.5702 1
Co3 Co 0.4233 0.3599 0.8606 1
O1 O 0.0118 0.7636 0.4981 1
O2 O 0.1523 0.0564 0.7898 1
O3 O 0.1613 0.5119 0.7876 1
O4 O 0.3036 0.8072 0.0874 1
O5 O 0.3180 0.3426 0.0596 1
O6 O 0.4263 0.1019 0.3640 1
O7 O 0.4435 0.6197 0.3432 1
```



Entry 4:
This entry pairs a crystal structure of Li3NiP2O8 with its computed powder XRD pattern. Radiation: a wavelength of 1.5418 Å. Structure: a structure optimized by DFT (GGA+U).

Largest 8 diffraction maxima, in order of rising 2θ, 2θ from 10° to 80°:
2θ (°)	I/Imax	(hkl)
14.11	46	1 1 0
16.01	50	1 1 -1
21.85	100	1 2 -1
22.28	94	0 0 2
24.16	57	2 1 0
32.34	60	2 2 -2
34.52	59	0 4 0
36.04	55	2 0 2

```
data_Li3NiP2O8
_cell_length_a 8.1733
_cell_length_b 10.3901
_cell_length_c 8.2770
_cell_angle_alpha 90.00
_cell_angle_beta 105.40
_cell_angle_gamma 90.00
_space_group_name_H-M_alt 'P 1 21 1'
_space_group_IT_number 4
_space_group_name_Hall 'P 2yb'
loop_
_atom_site_label
_atom_site_type_symbol
_atom_site_fract_x
_atom_site_fract_y
_atom_site_fract_z
_atom_site_occupancy
Li1 Li 0.0457 0.0000 0.0344 1
Li2 Li 0.1051 0.7435 0.8392 1
Li3 Li 0.1095 0.9133 0.3487 1
Li4 Li 0.1446 0.4245 0.4182 1
Li5 Li 0.1519 0.2351 0.9116 1
Li6 Li 0.3372 0.7227 0.5933 1
Ni1 Ni 0.4039 0.2381 0.6708 1
Ni2 Ni 0.4074 0.4179 0.1679 1
P1 P 0.2089 0.9859 0.7194 1
P2 P 0.2210 0.6645 0.2161 1
P3 P 0.2661 0.1784 0.2947 1
P4 P 0.2680 0.4813 0.7984 1
O1 O 0.0709 0.6731 0.0569 1
O2 O 0.0742 0.9743 0.5532 1
O3 O 0.1113 0.4179 0.8372 1
O4 O 0.1189 0.2530 0.3292 1
O5 O 0.1504 0.9337 0.8667 1
O6 O 0.1855 0.7314 0.3667 1
O7 O 0.2259 0.0396 0.2419 1
O8 O 0.2453 0.6219 0.7476 1
O9 O 0.2581 0.5160 0.2587 1
O10 O 0.2628 0.1316 0.7594 1
O11 O 0.3117 0.4055 0.6476 1
O12 O 0.3227 0.2470 0.1449 1
O13 O 0.3687 0.9081 0.6958 1
O14 O 0.3839 0.7202 0.1754 1
O15 O 0.4234 0.4612 0.9549 1
O16 O 0.4268 0.1914 0.4527 1
```



> What is the formula in the fourth record?

Li3NiP2O8